Record 1
MgFe6O7F5: computed XRD peak list (Cu Kα), based on the GGA+U geometry in the Materials Project.
Peak positions follow from Bragg's law for the DFT cell and can differ from measured ones.

Atomic structure:
```
MgFe6O7F5
1.0
5.0931 0.0000 0.0000
0.8420 5.0493 0.0000
0.0632 0.0905 8.9568
Mg Fe O F
1 6 7 5
Direct
0.0000 0.0000 0.0000 Mg
0.0617 0.5540 0.6835 Fe
0.0684 0.5548 0.3341 Fe
0.4296 0.0078 0.5167 Fe
0.4794 0.9991 0.1960 Fe
0.4839 0.0093 0.8218 Fe
0.9270 0.5008 0.0098 Fe
0.1314 0.2805 0.8553 O
0.1448 0.2807 0.1652 O
0.1531 0.3275 0.5070 O
0.3137 0.7895 0.6710 O
0.3254 0.7996 0.3426 O
0.8437 0.7690 0.1653 O
0.8483 0.7642 0.8534 O
0.3559 0.8024 0.0194 F
0.6186 0.2013 0.3453 F
0.6317 0.2097 0.6534 F
0.6554 0.2469 0.0163 F
0.8156 0.7424 0.5055 F
```

Top 8 peaks for 2θ from 15° to 90°, low angle first:
d/Å	Rel. int.
3.896	1000
3.300	827
2.581	254
2.559	435
1.892	236
1.869	269
1.734	182
1.724	324



Record 2
Ca5Nb4Co2O18: computed XRD peak list (Cu Kα), based on the GGA+U geometry in the Materials Project.
Peak positions follow from Bragg's law for the DFT cell and can differ from measured ones.

Atomic structure:
```
Ca5Nb4Co2O18
1.0
9.6228 0.0000 0.0000
0.0000 5.4725 0.0000
-9.4976 0.0000 13.7486
Ca Nb Co O
10 8 4 36
Direct
0.0000 0.2265 0.0000 Ca
0.0000 0.7735 0.5000 Ca
0.0948 0.2551 0.7964 Ca
0.0948 0.7449 0.2964 Ca
0.3204 0.2430 0.6598 Ca
0.3204 0.7570 0.1598 Ca
0.4259 0.2624 0.4683 Ca
0.4259 0.7376 0.9683 Ca
0.7572 0.2674 0.1320 Ca
0.7572 0.7326 0.6320 Ca
0.0341 0.2608 0.4009 Nb
0.0341 0.7392 0.9009 Nb
0.2068 0.2521 0.2288 Nb
0.2068 0.7479 0.7288 Nb
0.5571 0.2375 0.9008 Nb
0.5571 0.7625 0.4008 Nb
0.7021 0.2353 0.7273 Nb
0.7021 0.7647 0.2273 Nb
0.3770 0.2469 0.0628 Co
0.3770 0.7531 0.5628 Co
0.8633 0.2582 0.5603 Co
0.8633 0.7418 0.0603 Co
0.0031 0.4519 0.1538 O
0.0031 0.5481 0.6538 O
0.0900 0.0499 0.6503 O
0.0900 0.9501 0.1503 O
0.1481 0.1638 0.3256 O
0.1481 0.8362 0.8256 O
0.1996 0.4535 0.9526 O
0.1996 0.5465 0.4526 O
0.2235 0.0503 0.5109 O
0.2235 0.9497 0.0109 O
0.2748 0.3328 0.1399 O
0.2748 0.6672 0.6399 O
0.3394 0.4655 0.8191 O
0.3394 0.5345 0.3191 O
0.4148 0.0272 0.3163 O
0.4148 0.9728 0.8163 O
0.4772 0.1679 0.9887 O
0.4772 0.8321 0.4887 O
0.5364 0.4551 0.6219 O
0.5364 0.5449 0.1219 O
0.5533 0.0388 0.1708 O
0.5533 0.9612 0.6708 O
0.6140 0.3248 0.8079 O
0.6140 0.6752 0.3079 O
0.6720 0.4517 0.4911 O
0.6720 0.5483 0.9911 O
0.7634 0.0642 0.9897 O
0.7634 0.9358 0.4897 O
0.8108 0.1561 0.6588 O
0.8108 0.8439 0.1588 O
0.8751 0.4604 0.2851 O
0.8751 0.5396 0.7851 O
0.9052 0.0556 0.8462 O
0.9052 0.9444 0.3462 O
0.9575 0.3415 0.4806 O
0.9575 0.6585 0.9806 O
```

Top 8 peaks for 2θ from 15° to 90°, low angle first:
d/Å	Rel. int.
3.922	1000
2.809	355
2.780	716
2.767	689
2.736	323
1.961	738
1.588	175
1.586	169



Record 3
Hf3MnF6: computed XRD peak list (Cu Kα), based on the GGA+U geometry in the Materials Project.
Peak positions follow from Bragg's law for the DFT cell and can differ from measured ones.

Atomic structure:
```
Hf3MnF6
1.0
5.8989 0.0000 0.0000
-2.9321 7.0248 0.0000
-0.1003 -0.5727 8.0781
Hf Mn F
3 1 6
Direct
0.0000 0.0000 0.0000 Hf
0.0000 0.5000 0.5000 Hf
0.5000 0.0000 0.0000 Hf
0.0000 0.5000 0.0000 Mn
0.0133 0.5512 0.7414 F
0.1342 0.2770 0.9584 F
0.3504 0.7252 0.0468 F
0.6496 0.2748 0.9532 F
0.8658 0.7230 0.0416 F
0.9867 0.4488 0.2586 F
```

Top 8 peaks for 2θ from 15° to 90°, low angle first:
d/Å	Rel. int.
5.489	1000
5.437	772
5.117	930
4.039	927
3.504	501
2.781	317
2.718	660
1.831	301



Record 4
Co2OF3: computed XRD peak list (Cu Kα), based on the GGA+U geometry in the Materials Project.
Peak positions follow from Bragg's law for the DFT cell and can differ from measured ones.

Atomic structure:
```
Co2OF3
1.0
3.2374 -3.4248 0.0000
3.2374 3.4248 0.0000
-0.1310 0.0000 6.2022
Co O F
4 2 6
Direct
0.0000 0.0000 0.0000 Co
0.0066 0.0066 0.5044 Co
0.4709 0.4709 0.7479 Co
0.5390 0.5390 0.2534 Co
0.1732 0.1732 0.7342 O
0.8126 0.8126 0.2678 O
0.2185 0.2185 0.2533 F
0.3002 0.6918 0.4901 F
0.3040 0.6908 0.0085 F
0.6908 0.3040 0.0085 F
0.6918 0.3002 0.4901 F
0.7826 0.7826 0.7473 F
```

Top 8 peaks for 2θ from 15° to 90°, low angle first:
d/Å	Rel. int.
3.425	1000
3.237	842
2.608	568
2.571	485
1.775	352
1.763	319
1.731	232
1.409	245



Record 5
Li4Fe3Cu2Sn3O16: computed XRD peak list (Cu Kα), based on the GGA+U geometry in the Materials Project.
Peak positions follow from Bragg's law for the DFT cell and can differ from measured ones.

Atomic structure:
```
Li4Fe3Cu2Sn3O16
1.0
5.3156 -3.0585 0.0000
5.3156 3.0585 0.0000
-0.0282 0.0000 9.6802
Li Fe Cu Sn O
4 3 2 3 16
Direct
0.0000 0.0000 0.0000 Li
0.0027 0.0027 0.4925 Li
0.3228 0.3228 0.3893 Li
0.6583 0.6583 0.8956 Li
0.1608 0.1608 0.7129 Fe
0.3309 0.8226 0.2124 Fe
0.8226 0.3309 0.2124 Fe
0.3232 0.3232 0.9894 Cu
0.6551 0.6551 0.4845 Cu
0.1609 0.6533 0.7133 Sn
0.6533 0.1609 0.7133 Sn
0.8214 0.8214 0.2127 Sn
0.0320 0.4671 0.8440 O
0.1584 0.1584 0.1069 O
0.1618 0.6643 0.0993 O
0.3212 0.8331 0.6003 O
0.3220 0.3220 0.5963 O
0.4671 0.0320 0.8440 O
0.4748 0.4748 0.8453 O
0.5060 0.9506 0.3431 O
0.5137 0.5137 0.3365 O
0.6532 0.6532 0.1003 O
0.6643 0.1618 0.0993 O
0.8312 0.8312 0.5939 O
0.8331 0.3212 0.6003 O
0.9506 0.5060 0.3431 O
0.9958 0.9958 0.8157 O
0.9968 0.9968 0.3083 O
```

Top 8 peaks for 2θ from 15° to 90°, low angle first:
d/Å	Rel. int.
4.840	768
4.652	1000
3.577	418
2.758	360
2.590	363
2.560	578
2.048	569
1.563	404